This entry pairs a crystal structure of La2CuPdC with its simulated PXRD pattern. Radiation: CuKα. Structure: a structure optimized by DFT (PBE).

Structure:
Lattice parameters (Å, degrees): 5.2866 5.2866 3.7949 90.00 90.00 90.00
Atoms (fractional coordinates):
La  0.0000  0.5000  0.0000
La  0.5000  0.0000  0.0000
Cu  0.0000  0.0000  0.5000
Pd  0.5000  0.5000  0.5000
C  0.0000  0.0000  0.0000

Largest 10 diffraction maxima, sorted by position, 2θ = 10–80°:
2θ/deg  I_rel
23.44  4
23.80  4
33.65  100
33.91  54
47.94  10
48.72  19
60.02  20
60.52  36
70.75  12
71.37  6